For La2Pm5Pd4, the PBE geometry in Alexandria gives the theoretical XRD peak list in this record (a wavelength of 1.5418 Å).
No peak broadening, texture or thermal motion is included.

Cell and atoms:
Lattice parameters (Å, degrees): 25.376 3.686 7.013 90.00 92.94 90.00
Space group C2/m (No. 12)
Symmetry-distinct sites (fractional):
La 0.092 0.000 0.163 x4
Pm 0.000 0.500 0.500 x2
Pm 0.134 0.000 0.675 x4
Pm 0.234 0.000 0.249 x4
Pd 0.026 0.000 0.815 x4
Pd 0.173 0.500 0.983 x4

Largest 8 diffraction maxima, low angle first, 10° ≤ 2θ ≤ 90°:
hkl 1 1 0, d 3.648, rel. 43
hkl 3 1 1, d 3.019, rel. 100
hkl 8 0 -1, d 2.944, rel. 98
hkl 6 0 2, d 2.630, rel. 52
hkl 1 1 2, d 2.517, rel. 85
hkl 7 1 -1, d 2.454, rel. 44
hkl 9 1 1, d 2.107, rel. 43
hkl 8 2 -1, d 1.562, rel. 39